[1]
The following is a simulated X-ray powder pattern of CrSiPC. It was derived from a crystal structure in Alexandria, relaxed with GGA-PBE, using Cu Kα X-rays.

Peak list (10 most intense, 2θ = 15–90°, sorted by position)
- d 3.922, 22.67°, I 20, (0 0 1)
- d 3.818, 23.30°, I 18, (2 0 -1)
- d 3.609, 24.67°, I 19, (2 0 0)
- d 2.340, 38.47°, I 100, (1 1 -1)
- d 2.291, 39.32°, I 18, (2 0 -2)
- d 2.157, 41.89°, I 38, (2 0 1)
- d 2.105, 42.97°, I 35, (4 0 -1)
- d 1.803, 50.64°, I 45, (3 1 0)
- d 1.712, 53.52°, I 15, (1 1 -2)
- d 1.695, 54.12°, I 14, (3 1 -2)

Cell and atoms:
Cell lengths 8.439, 2.721, 4.585 Å; angles 90.00, 121.21, 90.00 degrees
Space group Cm (No. 8)
Symmetry-distinct sites (fractional):
1 Cr 0.000 0.000 0.000 (multiplicity 2)
2 Si 0.326 0.000 0.462 (multiplicity 2)
3 P 0.163 0.500 0.799 (multiplicity 2)
4 C 0.010 0.500 0.331 (multiplicity 2)


[2]
The following is a simulated X-ray powder pattern of U2Cr2P2C. It was derived from a crystal structure in Alexandria, relaxed with GGA-PBE, using Cu Kα X-rays.

Peak list (10 most intense, 2θ = 15–90°, sorted by position)
- d 3.750, 23.73°, I 36, (1 0 1)
- d 2.973, 30.06°, I 100, (1 0 3)
- d 2.755, 32.50°, I 44, (1 1 0)
- d 2.559, 35.07°, I 48, (1 1 2)
- d 2.300, 39.17°, I 23, (0 0 6)
- d 2.252, 40.03°, I 33, (1 0 5)
- d 2.153, 41.96°, I 29, (1 1 4)
- d 1.948, 46.62°, I 37, (2 0 0)
- d 1.630, 56.47°, I 37, (2 1 3)
- d 1.487, 62.47°, I 24, (2 0 6)

Cell and atoms:
Cell lengths 3.897, 3.897, 13.799 Å; angles 90.00, 90.00, 90.00 degrees
Space group I4/mmm (No. 139)
Symmetry-distinct sites (fractional):
1 U 0.000 0.000 0.171 (multiplicity 4)
2 Cr 0.000 0.500 0.000 (multiplicity 4)
3 P 0.000 0.000 0.381 (multiplicity 4)
4 C 0.000 0.000 0.000 (multiplicity 2)


[3]
The following is a simulated X-ray powder pattern of PaCr8C6. It was derived from a crystal structure in Alexandria, relaxed with GGA-PBE, using Cu Kα X-rays.

Peak list (10 most intense, 2θ = 15–90°, sorted by position)
- d 5.149, 17.22°, I 40, (1 0 0)
- d 3.751, 23.72°, I 71, (1 0 2)
- d 2.973, 30.06°, I 31, (1 1 0)
- d 2.613, 34.32°, I 100, (1 1 2)
- d 2.574, 34.85°, I 41, (2 0 0)
- d 2.418, 37.19°, I 80, (1 0 4)
- d 2.330, 38.65°, I 70, (2 0 2)
- d 1.834, 49.72°, I 29, (2 1 2)
- d 1.716, 53.38°, I 36, (3 0 0)
- d 1.586, 58.15°, I 35, (2 1 4)

Cell and atoms:
Cell lengths 5.9453, 5.9453, 10.9537 Å; angles 90.00, 90.00, 120.00 degrees
Space group P6_3cm (No. 185)
Symmetry-distinct sites (fractional):
1 Pa 0.0000 0.0000 0.0000 (multiplicity 2)
2 Cr 0.0000 0.3097 0.2598 (multiplicity 6)
3 Cr 0.0000 0.4494 0.6082 (multiplicity 6)
4 Cr 0.3333 0.6667 0.4107 (multiplicity 4)
5 C 0.0000 0.0000 0.2334 (multiplicity 2)
6 C 0.0000 0.3792 0.4334 (multiplicity 6)
7 C 0.3333 0.6667 0.2214 (multiplicity 4)


[4]
The following is a simulated X-ray powder pattern of PaTiCrC3. It was derived from a crystal structure in Alexandria, relaxed with GGA-PBE, using Cu Kα X-rays.

Peak list (10 most intense, 2θ = 15–90°, sorted by position)
- d 5.574, 15.90°, I 55, (1 0 -1)
- d 4.354, 20.40°, I 86, (1 0 1)
- d 3.611, 24.66°, I 50, (0 0 2)
- d 2.936, 30.44°, I 81, (0 1 1)
- d 2.884, 31.01°, I 100, (1 1 0)
- d 2.787, 32.12°, I 76, (2 0 -2)
- d 2.401, 37.46°, I 50, (0 1 2)
- d 2.382, 37.77°, I 61, (1 1 -2)
- d 2.303, 39.12°, I 53, (2 1 -1)
- d 2.294, 39.27°, I 74, (2 1 0)

Cell and atoms:
Cell lengths 6.755, 3.214, 7.445 Å; angles 90.00, 104.08, 90.00 degrees
Space group P2_1/m (No. 11)
Symmetry-distinct sites (fractional):
1 Pa 0.187 0.250 0.203 (multiplicity 2)
2 Ti 0.351 0.750 0.868 (multiplicity 2)
3 Cr 0.113 0.250 0.603 (multiplicity 2)
4 C 0.117 0.250 0.862 (multiplicity 2)
5 C 0.189 0.750 0.493 (multiplicity 2)
6 C 0.439 0.750 0.157 (multiplicity 2)


[5]
The following is a simulated X-ray powder pattern of Pu2Cr2C3. It was derived from a crystal structure in Alexandria, relaxed with GGA-PBE, using Cu Kα X-rays.

Peak list (10 most intense, 2θ = 15–90°, sorted by position)
- d 4.789, 18.53°, I 58, (2 0 -1)
- d 3.084, 28.95°, I 61, (1 1 0)
- d 2.927, 30.54°, I 47, (2 0 1)
- d 2.896, 30.88°, I 49, (4 0 -1)
- d 2.718, 32.96°, I 31, (2 0 -2)
- d 2.586, 34.69°, I 30, (4 0 0)
- d 2.453, 36.63°, I 66, (1 1 1)
- d 2.441, 36.82°, I 100, (3 1 -1)
- d 2.418, 37.19°, I 37, (0 0 2)
- d 1.742, 52.53°, I 34, (5 1 0)

Cell and atoms:
Cell lengths 11.629, 3.231, 5.436 Å; angles 90.00, 117.20, 90.00 degrees
Space group C2/m (No. 12)
Symmetry-distinct sites (fractional):
1 Pu 0.098 0.000 0.294 (multiplicity 4)
2 Cr 0.166 0.500 0.821 (multiplicity 4)
3 C 0.000 0.500 0.500 (multiplicity 2)
4 C 0.248 0.500 0.233 (multiplicity 4)


[6]
The following is a simulated X-ray powder pattern of PuSc2Cr2C4. It was derived from a crystal structure in Alexandria, relaxed with GGA-PBE, using Cu Kα X-rays.

Peak list (10 most intense, 2θ = 15–90°, sorted by position)
- d 5.285, 16.77°, I 87, (0 0 1)
- d 4.988, 17.78°, I 27, (2 0 -1)
- d 3.145, 28.38°, I 31, (4 0 -1)
- d 3.030, 29.48°, I 38, (1 1 0)
- d 2.643, 33.92°, I 43, (0 0 2)
- d 2.459, 36.55°, I 100, (3 1 -1)
- d 2.093, 43.22°, I 25, (1 1 -2)
- d 2.054, 44.08°, I 74, (3 1 1)
- d 1.983, 45.76°, I 49, (6 0 0)
- d 1.622, 56.77°, I 27, (3 1 -3)

Cell and atoms:
Cell lengths 12.838, 3.134, 5.701 Å; angles 90.00, 112.02, 90.00 degrees
Space group C2/m (No. 12)
Symmetry-distinct sites (fractional):
1 Pu 0.000 0.000 0.000 (multiplicity 2)
2 Sc 0.148 0.000 0.539 (multiplicity 4)
3 Cr 0.173 0.500 0.977 (multiplicity 4)
4 C 0.018 0.500 0.634 (multiplicity 4)
5 C 0.224 0.000 0.220 (multiplicity 4)


- Which formula does entry 2 have?
  U2Cr2P2C